The following is a theoretical powder diffractogram of KYMnWO6. It was derived from a structure optimized by DFT (PBE+U), using Cu Kα X-rays.

Structure:
a b c (Å): 5.552 5.732 8.245
angles (deg): 90.00 90.60 90.00
Sites, in units of the cell vectors:
K 0.246 0.000 0.003
K 0.754 0.500 0.997
Y 0.258 0.910 0.502
Y 0.742 0.410 0.498
Mn 0.252 0.468 0.752
Mn 0.748 0.968 0.248
W 0.234 0.478 0.256
W 0.766 0.978 0.744
O 0.056 0.802 0.753
O 0.074 0.776 0.243
O 0.145 0.516 0.497
O 0.289 0.467 0.031
O 0.434 0.204 0.321
O 0.474 0.170 0.677
O 0.526 0.670 0.323
O 0.566 0.704 0.679
O 0.711 0.967 0.969
O 0.855 0.016 0.503
O 0.926 0.276 0.757
O 0.944 0.302 0.247

Peak list (10 most intense, 5 to 70 degrees two-theta, low angle first)
two_theta  I/Imax
10.73  28
18.86  56
19.18  29
22.29  42
31.09  100
31.21  48
31.33  98
32.25  48
43.93  31
45.49  49